ScGaSi: theoretical X-ray powder pattern (Cu Kα), based on a PBE-relaxed structure.
Lines closer than 0.1° are merged.

The 10 most intense peaks (2θ = 15–90°), sorted by position:
Position (°2θ)	intensity
18.5	28
24.4	16
36.2	84
37.5	52
40.9	100
46.0	27
50.3	18
60.8	24
63.5	17
79.3	17

```
data_ScGaSi
_cell_length_a 5.188
_cell_length_b 5.188
_cell_length_c 5.534
_cell_angle_alpha 90.00
_cell_angle_beta 90.00
_cell_angle_gamma 135.34
_symmetry_space_group_name_H-M 'P 1'
_symmetry_Int_Tables_number 1
_symmetry_space_group_name_Hall 'P 1'
loop_
_atom_site_label
_atom_site_type_symbol
_atom_site_fract_x
_atom_site_fract_y
_atom_site_fract_z
Sc1 Sc 0.190 0.810 0.750
Sc2 Sc 0.810 0.190 0.250
Ga1 Ga 0.500 0.500 0.000
Ga2 Ga 0.500 0.500 0.500
Si1 Si 0.111 0.889 0.250
Si2 Si 0.889 0.111 0.750
```

=====

SmSc2Ga4: theoretical X-ray powder pattern (Cu Kα), based on a PBE-relaxed structure.
Lines closer than 0.1° are merged.

The 10 most intense peaks (2θ = 15–90°), sorted by position:
Position (°2θ)	intensity
26.6	22
32.7	100
33.5	45
37.2	30
42.0	45
44.3	24
44.5	23
56.7	14
62.9	24
64.6	15

```
data_SmSc2Ga4
_cell_length_a 9.314
_cell_length_b 9.314
_cell_length_c 9.314
_cell_angle_alpha 154.76
_cell_angle_beta 154.66
_cell_angle_gamma 36.07
_symmetry_space_group_name_H-M 'P 1'
_symmetry_Int_Tables_number 1
_symmetry_space_group_name_Hall 'P 1'
loop_
_atom_site_label
_atom_site_type_symbol
_atom_site_fract_x
_atom_site_fract_y
_atom_site_fract_z
Sm1 Sm 0.000 0.000 0.000
Sc1 Sc 0.313 0.813 0.500
Sc2 Sc 0.687 0.187 0.500
Ga1 Ga 0.153 0.653 0.500
Ga2 Ga 0.429 0.429 0.000
Ga3 Ga 0.571 0.571 0.000
Ga4 Ga 0.847 0.347 0.500
```

=====

Sc3GaSn3: theoretical X-ray powder pattern (Cu Kα), based on a PBE-relaxed structure.
Lines closer than 0.1° are merged.

The 10 most intense peaks (2θ = 15–90°), sorted by position:
Position (°2θ)	intensity
25.0	9
27.2	13
33.0	33
33.3	23
37.3	100
47.6	17
59.4	14
61.8	23
69.7	18
72.3	13

```
data_Sc3GaSn3
_cell_length_a 8.230
_cell_length_b 8.230
_cell_length_c 5.424
_cell_angle_alpha 90.00
_cell_angle_beta 90.00
_cell_angle_gamma 120.00
_symmetry_space_group_name_H-M 'P 1'
_symmetry_Int_Tables_number 1
_symmetry_space_group_name_Hall 'P 1'
loop_
_atom_site_label
_atom_site_type_symbol
_atom_site_fract_x
_atom_site_fract_y
_atom_site_fract_z
Sc1 Sc 0.095 0.455 0.250
Sc2 Sc 0.361 0.905 0.250
Sc3 Sc 0.455 0.361 0.750
Sc4 Sc 0.545 0.639 0.250
Sc5 Sc 0.639 0.095 0.750
Sc6 Sc 0.905 0.545 0.750
Ga1 Ga 0.333 0.667 0.750
Ga2 Ga 0.667 0.333 0.250
Sn1 Sn 0.057 0.264 0.750
Sn2 Sn 0.207 0.943 0.750
Sn3 Sn 0.264 0.207 0.250
Sn4 Sn 0.736 0.793 0.750
Sn5 Sn 0.793 0.057 0.250
Sn6 Sn 0.943 0.736 0.250
```

=====

Sc6Ga3Sn: theoretical X-ray powder pattern (Cu Kα), based on a PBE-relaxed structure.
Lines closer than 0.1° are merged.

The 10 most intense peaks (2θ = 15–90°), sorted by position:
Position (°2θ)	intensity
21.2	38
26.0	25
31.1	45
34.5	100
35.0	33
35.6	71
41.1	45
41.5	31
44.0	33
44.9	27

```
data_Sc6Ga3Sn
_cell_length_a 8.525
_cell_length_b 8.525
_cell_length_c 6.472
_cell_angle_alpha 90.00
_cell_angle_beta 90.00
_cell_angle_gamma 108.85
_symmetry_space_group_name_H-M 'P 1'
_symmetry_Int_Tables_number 1
_symmetry_space_group_name_Hall 'P 1'
loop_
_atom_site_label
_atom_site_type_symbol
_atom_site_fract_x
_atom_site_fract_y
_atom_site_fract_z
Sc1 Sc 0.032 0.968 0.500
Sc2 Sc 0.092 0.486 0.990
Sc3 Sc 0.237 0.312 0.659
Sc4 Sc 0.304 0.696 0.569
Sc5 Sc 0.312 0.237 0.159
Sc6 Sc 0.486 0.092 0.490
Sc7 Sc 0.514 0.908 0.990
Sc8 Sc 0.688 0.763 0.659
Sc9 Sc 0.696 0.304 0.069
Sc10 Sc 0.763 0.688 0.159
Sc11 Sc 0.908 0.514 0.490
Sc12 Sc 0.968 0.032 0.000
Ga1 Ga 0.012 0.270 0.309
Ga2 Ga 0.270 0.012 0.809
Ga3 Ga 0.457 0.543 0.927
Ga4 Ga 0.543 0.457 0.427
Ga5 Ga 0.730 0.988 0.309
Ga6 Ga 0.988 0.730 0.809
Sn1 Sn 0.176 0.824 0.189
Sn2 Sn 0.824 0.176 0.689
```

=====

SrSc2Ga4: theoretical X-ray powder pattern (Cu Kα), based on a PBE-relaxed structure.
Lines closer than 0.1° are merged.

The 10 most intense peaks (2θ = 15–90°), sorted by position:
Position (°2θ)	intensity
27.1	15
32.7	100
33.4	34
40.0	52
42.5	30
43.0	30
46.8	22
55.1	15
63.2	26
65.0	16

```
data_SrSc2Ga4
_cell_length_a 9.729
_cell_length_b 9.729
_cell_length_c 9.729
_cell_angle_alpha 156.98
_cell_angle_beta 154.75
_cell_angle_gamma 34.43
_symmetry_space_group_name_H-M 'P 1'
_symmetry_Int_Tables_number 1
_symmetry_space_group_name_Hall 'P 1'
loop_
_atom_site_label
_atom_site_type_symbol
_atom_site_fract_x
_atom_site_fract_y
_atom_site_fract_z
Sr1 Sr 0.000 0.000 0.000
Sc1 Sc 0.308 0.808 0.500
Sc2 Sc 0.692 0.192 0.500
Ga1 Ga 0.157 0.657 0.500
Ga2 Ga 0.425 0.425 0.000
Ga3 Ga 0.575 0.575 0.000
Ga4 Ga 0.843 0.343 0.500
```

=====

SrSc2Ga6: theoretical X-ray powder pattern (Cu Kα), based on a PBE-relaxed structure.
Lines closer than 0.1° are merged.

The 10 most intense peaks (2θ = 15–90°), sorted by position:
Position (°2θ)	intensity
28.0	74
28.6	34
33.2	100
37.7	38
41.9	90
43.6	77
45.6	23
49.2	37
62.0	53
76.1	16

```
data_SrSc2Ga6
_cell_length_a 7.515
_cell_length_b 7.515
_cell_length_c 7.515
_cell_angle_alpha 146.65
_cell_angle_beta 122.77
_cell_angle_gamma 67.88
_symmetry_space_group_name_H-M 'P 1'
_symmetry_Int_Tables_number 1
_symmetry_space_group_name_Hall 'P 1'
loop_
_atom_site_label
_atom_site_type_symbol
_atom_site_fract_x
_atom_site_fract_y
_atom_site_fract_z
Sr1 Sr 0.000 0.000 0.000
Sc1 Sc 0.378 0.878 0.500
Sc2 Sc 0.622 0.122 0.500
Ga1 Ga 0.007 0.309 0.698
Ga2 Ga 0.327 0.500 0.827
Ga3 Ga 0.390 0.691 0.698
Ga4 Ga 0.610 0.309 0.302
Ga5 Ga 0.673 0.500 0.173
Ga6 Ga 0.993 0.691 0.302
```

=====

Tb5Sc2Ga4: theoretical X-ray powder pattern (Cu Kα), based on a PBE-relaxed structure.
Lines closer than 0.1° are merged.

The 10 most intense peaks (2θ = 15–90°), sorted by position:
Position (°2θ)	intensity
23.7	67
25.7	72
28.9	61
30.8	38
33.4	38
34.3	100
36.9	53
38.8	33
45.4	42
59.9	33

```
data_Tb5Sc2Ga4
_cell_length_a 8.441
_cell_length_b 8.441
_cell_length_c 8.441
_cell_angle_alpha 146.47
_cell_angle_beta 100.16
_cell_angle_gamma 89.43
_symmetry_space_group_name_H-M 'P 1'
_symmetry_Int_Tables_number 1
_symmetry_space_group_name_Hall 'P 1'
loop_
_atom_site_label
_atom_site_type_symbol
_atom_site_fract_x
_atom_site_fract_y
_atom_site_fract_z
Tb1 Tb 0.000 0.000 0.000
Tb2 Tb 0.161 0.317 0.844
Tb3 Tb 0.473 0.317 0.156
Tb4 Tb 0.527 0.683 0.844
Tb5 Tb 0.839 0.683 0.156
Sc1 Sc 0.180 0.680 0.500
Sc2 Sc 0.820 0.320 0.500
Ga1 Ga 0.165 0.500 0.665
Ga2 Ga 0.398 0.898 0.500
Ga3 Ga 0.602 0.102 0.500
Ga4 Ga 0.835 0.500 0.335
```